# CsAcPt10
Theoretical powder diffractogram, copper Kα. Input: a cell relaxed with PBE.
Intensities are scaled so that the largest is 100.

Cell and atoms:
Cell lengths 4.342, 5.665, 9.710 Å; angles 90.00, 90.00, 90.00 degrees
Space group Pmmm (No. 47)
One atom of each set of equivalent atoms:
Cs: 0.000 0.000 0.000 [1 per cell]
Ac: 0.000 0.500 0.500 [1 per cell]
Pt: 0.000 0.000 0.336 [2 per cell]
Pt: 0.000 0.500 0.170 [2 per cell]
Pt: 0.500 0.000 0.500 [1 per cell]
Pt: 0.500 0.256 0.260 [4 per cell]
Pt: 0.500 0.500 0.000 [1 per cell]

Peak list (10 most intense, 2θ = 10–90°, sorted by position)
Position (°2θ)  I_rel
18.1  23.9
36.7  30.0
37.9  50.4
38.1  100.0
41.6  44.7
42.4  46.6
42.7  22.1
60.6  25.6
66.5  22.8
81.6  24.8

***

# Cs3Ac2PuTe6
Theoretical powder diffractogram, copper Kα. Input: a cell relaxed with PBE.
Intensities are scaled so that the largest is 100.

Cell and atoms:
Cell lengths 8.380, 14.518, 9.357 Å; angles 90.00, 107.39, 90.00 degrees
Space group C2/m (No. 12)
One atom of each set of equivalent atoms:
Cs: 0.000 0.000 0.000 [2 per cell]
Cs: 0.000 0.331 0.000 [4 per cell]
Ac: 0.000 0.166 0.500 [4 per cell]
Pu: 0.000 0.500 0.500 [2 per cell]
Te: 0.226 0.340 0.697 [8 per cell]
Te: 0.246 0.000 0.698 [4 per cell]

Peak list (10 most intense, 2θ = 10–90°, sorted by position)
Position (°2θ)  I_rel
25.1  100.0
31.7  11.7
34.3  35.1
37.2  38.3
43.0  7.7
45.4  20.1
51.4  11.0
56.1  11.4
60.0  17.3
65.2  10.7

***

# CsAc6S8
Theoretical powder diffractogram, copper Kα. Input: a cell relaxed with PBE.
Intensities are scaled so that the largest is 100.

Cell and atoms:
Cell lengths 11.7366, 11.7366, 4.3859 Å; angles 90.00, 90.00, 120.00 degrees
Space group P-3 (No. 147)
One atom of each set of equivalent atoms:
Cs: 0.0000 0.0000 0.0000 [1 per cell]
Ac: 0.1419 0.4731 0.2540 [6 per cell]
S: 0.0445 0.6742 0.2447 [6 per cell]
S: 0.3333 0.6667 0.7543 [2 per cell]

Peak list (10 most intense, 2θ = 10–90°, sorted by position)
Position (°2θ)  I_rel
22.1  67.3
23.2  100.0
25.4  17.5
30.9  73.2
31.7  25.1
36.9  60.5
40.7  21.5
47.8  24.5
49.4  22.1
59.2  18.9

***

# Cs2AcSi2S6
Theoretical powder diffractogram, copper Kα. Input: a cell relaxed with PBE.
Intensities are scaled so that the largest is 100.

Cell and atoms:
Cell lengths 12.956, 7.459, 8.377 Å; angles 90.00, 122.21, 90.00 degrees
Space group C2/m (No. 12)
One atom of each set of equivalent atoms:
Cs: 0.222 0.000 0.211 [4 per cell]
Ac: 0.000 0.000 0.500 [2 per cell]
Si: 0.045 0.500 0.184 [4 per cell]
S: 0.031 0.263 0.787 [8 per cell]
S: 0.234 0.500 0.308 [4 per cell]

Peak list (10 most intense, 2θ = 10–90°, sorted by position)
Position (°2θ)  I_rel
14.4  32.5
21.4  26.4
21.8  60.8
23.8  100.0
24.9  41.0
27.9  17.5
32.3  63.2
32.7  25.2
35.0  21.9
41.9  21.5